Record 1
Starting from a crystal structure in the Materials Project, relaxed with GGA+U, the powder X-ray diffraction pattern of MgCu2W2O6F4 was computed for Cu Kα (λ = 1.5418 Å).
No peak broadening, texture or thermal motion is included.

Most intense lines, 10 to 80 degrees two-theta, most intense first:
- 26.03 deg, I 100, (1 1 -1)
- 24.13 deg, I 97, (0 2 1)
- 17.45 deg, I 37, (0 2 0)
- 16.55 deg, I 24, (0 0 1)
- 35.27 deg, I 22, (0 4 0)
- 36.24 deg, I 21, (1 3 -1)

Structural model:
Lattice parameters (Å, degrees): 3.866 10.166 5.686 90.00 109.55 90.00
Space group Pm (No. 6)
Inequivalent atoms, fractional coordinates:
Mg (0.000, 0.000, 0.000) x1
Cu (0.440, 0.289, 0.966) x2
W (0.161, 0.500, 0.431) x1
W (0.656, 0.000, 0.403) x1
O (0.161, 0.000, 0.419) x1
O (0.271, 0.366, 0.651) x2
O (0.511, 0.127, 0.146) x2
O (0.628, 0.500, 0.365) x1
F (0.009, 0.364, 0.128) x2
F (0.808, 0.120, 0.715) x2

---

Record 2
Starting from a crystal structure in the Materials Project, relaxed with GGA+U, the powder X-ray diffraction pattern of Li4Mn3Cr3Sb2O16 was computed for Cu Kα (λ = 1.5418 Å).
No peak broadening, texture or thermal motion is included.

Most intense lines, 10 to 80 degrees two-theta, most intense first:
- 19.57 deg, I 100, (1 1 1)
- 19.35 deg, I 68, (1 1 -1)
- 34.77 deg, I 49, (3 1 -2)
- 35.40 deg, I 42, (0 2 2)
- 35.55 deg, I 32, (3 1 2)
- 19.11 deg, I 32, (2 0 -1)

Structural model:
Lattice parameters (Å, degrees): 10.410 5.941 9.757 90.00 91.61 90.00
Space group Cm (No. 8)
Inequivalent atoms, fractional coordinates:
Li (0.000, 0.000, 0.000) x2
Li (0.003, 0.000, 0.500) x2
Li (0.170, 0.500, 0.087) x2
Li (0.341, 0.000, 0.582) x2
Mn (0.087, 0.254, 0.776) x4
Mn (0.172, 0.000, 0.277) x2
Cr (0.333, 0.500, 0.774) x2
Cr (0.418, 0.246, 0.274) x4
Sb (0.175, 0.500, 0.501) x2
Sb (0.335, 0.000, 0.004) x2
O (0.004, 0.000, 0.688) x2
O (0.007, 0.000, 0.186) x2
O (0.026, 0.500, 0.641) x2
O (0.085, 0.250, 0.397) x4
O (0.165, 0.000, 0.897) x2
O (0.169, 0.500, 0.873) x2
O (0.254, 0.279, 0.639) x4
O (0.265, 0.227, 0.142) x4
O (0.333, 0.000, 0.375) x2
O (0.339, 0.500, 0.389) x2
O (0.415, 0.251, 0.897) x4
O (0.485, 0.000, 0.149) x2

---

Record 3
Starting from a crystal structure in the Materials Project, relaxed with GGA+U, the powder X-ray diffraction pattern of Li3FeF6 was computed for Cu Kα (λ = 1.5418 Å).
No peak broadening, texture or thermal motion is included.

Most intense lines, 10 to 80 degrees two-theta, most intense first:
- 22.04 deg, I 100, (1 0 1)
- 39.82 deg, I 78, (1 1 2)
- 52.06 deg, I 40, (1 1 4)
- 18.39 deg, I 36, (0 0 2)
- 34.43 deg, I 27, (1 0 3)
- 20.00 deg, I 23, (1 0 0)

Structural model:
Lattice parameters (Å, degrees): 5.1270 5.1270 9.6498 90.00 90.00 120.00
Space group P-31c (No. 163)
Inequivalent atoms, fractional coordinates:
Li (0.0000, 0.0000, 0.2500) x2
Li (0.3333, 0.6667, 0.0545) x4
Fe (0.3333, 0.6667, 0.7500) x2
F (0.0276, 0.3551, 0.6316) x12

---

Record 4
Starting from a crystal structure in the Materials Project, relaxed with GGA+U, the powder X-ray diffraction pattern of YCrF5 was computed for Cu Kα (λ = 1.5418 Å).
No peak broadening, texture or thermal motion is included.

Most intense lines, 10 to 80 degrees two-theta, most intense first:
- 24.65 deg, I 100, (1 1 0)
- 21.41 deg, I 89, (0 0 2)
- 25.69 deg, I 65, (0 2 0)
- 44.67 deg, I 34, (1 3 0)
- 42.74 deg, I 28, (2 0 0)
- 43.62 deg, I 26, (0 0 4)

Structural model:
Lattice parameters (Å, degrees): 4.231 6.935 8.300 90.00 90.00 90.00
Space group Immm (No. 71)
Inequivalent atoms, fractional coordinates:
Y (0.000, 0.000, 0.000) x2
Cr (0.000, 0.000, 0.500) x2
F (0.000, 0.000, 0.264) x4
F (0.000, 0.316, 0.000) x4
F (0.000, 0.500, 0.500) x2

---

Record 5
Starting from a crystal structure in the Materials Project, relaxed with GGA+U, the powder X-ray diffraction pattern of Li8Mn3Fe5B8O24 was computed for Cu Kα (λ = 1.5418 Å).
No peak broadening, texture or thermal motion is included.

Most intense lines, 10 to 80 degrees two-theta, most intense first:
- 33.53 deg, I 100, (0 2 -2)
- 20.35 deg, I 82, (1 0 -2)
- 22.48 deg, I 62, (1 1 1)
- 34.16 deg, I 58, (1 1 5)
- 22.27 deg, I 34, (0 0 4)
- 41.00 deg, I 33, (2 0 4)

Structural model:
Lattice parameters (Å, degrees): 5.245 6.038 16.144 81.61 89.29 88.91
Space group P1 (No. 1)
Inequivalent atoms, fractional coordinates:
Li (0.000, 0.000, 0.000) x1
Li (0.001, 0.498, 0.498) x1
Li (0.197, 0.877, 0.529) x1
Li (0.198, 0.378, 0.030) x1
Li (0.501, 0.749, 0.750) x1
Li (0.502, 0.248, 0.249) x1
Li (0.697, 0.628, 0.280) x1
Li (0.699, 0.126, 0.780) x1
Mn (0.018, 0.584, 0.680) x1
Mn (0.517, 0.338, 0.430) x1
Mn (0.681, 0.541, 0.098) x1
Fe (0.012, 0.088, 0.181) x1
Fe (0.177, 0.286, 0.852) x1
Fe (0.185, 0.788, 0.347) x1
Fe (0.512, 0.842, 0.928) x1
Fe (0.689, 0.037, 0.599) x1
B (0.019, 0.277, 0.341) x1
B (0.020, 0.776, 0.843) x1
B (0.180, 0.600, 0.187) x1
B (0.182, 0.099, 0.687) x1
B (0.520, 0.527, 0.592) x1
B (0.521, 0.028, 0.091) x1
B (0.676, 0.351, 0.935) x1
B (0.678, 0.850, 0.437) x1
O (0.031, 0.733, 0.235) x1
O (0.036, 0.229, 0.736) x1
O (0.058, 0.988, 0.629) x1
O (0.063, 0.485, 0.130) x1
O (0.136, 0.393, 0.398) x1
O (0.141, 0.892, 0.900) x1
O (0.167, 0.643, 0.796) x1
O (0.168, 0.143, 0.294) x1
O (0.261, 0.052, 0.081) x1
O (0.261, 0.550, 0.578) x1
O (0.439, 0.577, 0.201) x1
O (0.441, 0.075, 0.698) x1
O (0.531, 0.485, 0.982) x1
O (0.532, 0.982, 0.486) x1
O (0.552, 0.737, 0.380) x1
O (0.557, 0.233, 0.879) x1
O (0.636, 0.644, 0.649) x1
O (0.647, 0.141, 0.148) x1
O (0.665, 0.897, 0.043) x1
O (0.670, 0.392, 0.546) x1
O (0.760, 0.299, 0.328) x1
O (0.761, 0.799, 0.832) x1
O (0.937, 0.328, 0.947) x1
O (0.937, 0.826, 0.448) x1

---

Record 6
Starting from a crystal structure in the Materials Project, relaxed with GGA+U, the powder X-ray diffraction pattern of MgCoO2 was computed for Cu Kα (λ = 1.5418 Å).
No peak broadening, texture or thermal motion is included.

Most intense lines, 10 to 80 degrees two-theta, most intense first:
- 35.48 deg, I 100, (1 0 2)
- 32.06 deg, I 68, (0 2 -2)
- 49.42 deg, I 59, (-1 2 2)
- 35.29 deg, I 53, (1 1 -1)
- 25.18 deg, I 50, (0 2 -1)
- 21.91 deg, I 44, (0 0 2)

Structural model:
Lattice parameters (Å, degrees): 2.934 8.157 8.238 85.85 80.38 80.42
Space group P1 (No. 1)
Inequivalent atoms, fractional coordinates:
Mg (0.000, 0.000, 0.000) x1
Mg (0.194, 0.158, 0.523) x1
Mg (0.399, 0.363, 0.859) x1
Mg (0.796, 0.787, 0.666) x1
Co (0.008, 0.477, 0.529) x1
Co (0.190, 0.675, 0.003) x1
Co (0.409, 0.872, 0.339) x1
Co (0.788, 0.312, 0.173) x1
O (0.196, 0.336, 0.333) x1
O (0.397, 0.640, 0.596) x1
O (0.403, 0.176, 0.027) x1
O (0.578, 0.294, 0.635) x1
O (0.624, 0.850, 0.893) x1
O (0.790, 0.494, 0.963) x1
O (0.793, 0.974, 0.495) x1
O (0.997, 0.824, 0.193) x1

---

Record 7
Starting from a crystal structure in the Materials Project, relaxed with GGA+U, the powder X-ray diffraction pattern of NaMnSi2O6 was computed for Cu Kα (λ = 1.5418 Å).
No peak broadening, texture or thermal motion is included.

Most intense lines, 10 to 80 degrees two-theta, most intense first:
- 30.04 deg, I 100, (2 2 -1)
- 34.22 deg, I 54, (0 0 2)
- 30.54 deg, I 52, (3 1 0)
- 35.50 deg, I 43, (2 2 1)
- 13.88 deg, I 37, (1 1 0)
- 35.28 deg, I 23, (1 3 -1)

Structural model:
Lattice parameters (Å, degrees): 9.661 8.754 5.434 90.00 105.34 90.00
Space group C2/c (No. 15)
Inequivalent atoms, fractional coordinates:
Na (0.000, 0.204, 0.250) x4
Mn (0.000, 0.404, 0.750) x4
Si (0.206, 0.088, 0.753) x8
O (0.118, 0.424, 0.161) x8
O (0.139, 0.258, 0.696) x8
O (0.145, 0.007, 0.979) x8